No. 1
Ca5Si3O13: calculated X-ray diffraction stick pattern (Cu Kα, 1.54184 Å), based on a DFT-relaxed cell (GGA-PBE, the Materials Project).
Lines closer than 0.1° are merged.

Structural model:
```
data_Ca5Si3O13
_space_group_name_H-M_alt 'P 63/m'
_space_group_IT_number 176
_space_group_name_Hall '-P 6c'
_cell_length_a 9.6464
_cell_length_b 9.6464
_cell_length_c 6.9949
_cell_angle_alpha 90.00
_cell_angle_beta 90.00
_cell_angle_gamma 120.00
loop_
_atom_site_label
_atom_site_type_symbol
_atom_site_fract_x
_atom_site_fract_y
_atom_site_fract_z
Ca1 Ca 0.0059 0.7528 0.2500
Ca2 Ca 0.3333 0.6667 0.0054
Si1 Si 0.0282 0.6317 0.7500
O1 O 0.0000 0.0000 0.2500
O2 O 0.0897 0.7501 0.5626
O3 O 0.1264 0.5334 0.7500
O4 O 0.1667 0.4826 0.2500
```

Most intense lines, 10° ≤ 2θ ≤ 90°, sorted by position:
2θ = 25.47°, intensity 33, (0 0 2)
2θ = 31.08°, intensity 100, (1 2 1)
2θ = 31.60°, intensity 42, (1 1 2)
2θ = 32.14°, intensity 61, (3 0 0)
2θ = 33.42°, intensity 25, (2 0 2)
2θ = 38.87°, intensity 26, (3 1 0)
2θ = 45.70°, intensity 37, (2 2 2)
2θ = 48.54°, intensity 37, (1 2 3)
2θ = 49.30°, intensity 22, (3 2 1)
2θ = 62.75°, intensity 20, (3 0 4)

---

No. 2
CaSiO4: calculated X-ray diffraction stick pattern (Cu Kα, 1.54184 Å), based on a DFT-relaxed cell (GGA-PBE, the Materials Project).
Lines closer than 0.1° are merged.

Structural model:
```
data_CaSiO4
_space_group_name_H-M_alt 'F d d 2'
_space_group_IT_number 43
_space_group_name_Hall 'F 2 -2d'
_cell_length_a 11.689
_cell_length_b 20.614
_cell_length_c 5.736
_cell_angle_alpha 90.00
_cell_angle_beta 90.00
_cell_angle_gamma 90.00
loop_
_atom_site_label
_atom_site_type_symbol
_atom_site_fract_x
_atom_site_fract_y
_atom_site_fract_z
Ca1 Ca 0.081 0.178 0.000
Si1 Si 0.090 0.062 0.488
O1 O 0.000 0.000 0.498
O2 O 0.000 0.000 0.939
O3 O 0.038 0.115 0.668
O4 O 0.038 0.283 0.831
O5 O 0.111 0.087 0.225
```

Most intense lines, 10° ≤ 2θ ≤ 90°, sorted by position:
2θ = 17.75°, intensity 18, (1 1 1)
2θ = 21.56°, intensity 100, (1 3 1)
2θ = 27.72°, intensity 49, (1 5 1)
2θ = 30.63°, intensity 29, (3 3 1)
2θ = 31.83°, intensity 41, (4 2 0)
2θ = 34.83°, intensity 17, (0 8 0)
2θ = 35.95°, intensity 17, (2 2 2)
2θ = 40.99°, intensity 17, (0 6 2)
2θ = 43.84°, intensity 16, (5 3 1)
2θ = 50.12°, intensity 20, (1 3 3)

---

No. 3
Ca2SiO5: calculated X-ray diffraction stick pattern (Cu Kα, 1.54184 Å), based on a DFT-relaxed cell (GGA-PBE, the Materials Project).
Lines closer than 0.1° are merged.

Structural model:
```
data_Ca2SiO5
_space_group_name_H-M_alt 'P 1'
_space_group_IT_number 1
_space_group_name_Hall 'P 1'
_cell_length_a 3.503
_cell_length_b 8.703
_cell_length_c 11.345
_cell_angle_alpha 92.95
_cell_angle_beta 90.08
_cell_angle_gamma 101.48
loop_
_atom_site_label
_atom_site_type_symbol
_atom_site_fract_x
_atom_site_fract_y
_atom_site_fract_z
Ca1 Ca 0.000 0.000 0.000
Ca2 Ca 0.100 0.197 0.513
Ca3 Ca 0.336 0.668 0.103
Ca4 Ca 0.464 0.911 0.743
Ca5 Ca 0.647 0.285 0.256
Ca6 Ca 0.777 0.540 0.622
Si1 Si 0.201 0.281 0.807
Si2 Si 0.429 0.849 0.479
Si3 Si 0.962 0.917 0.295
O1 O 0.053 0.092 0.804
O2 O 0.058 0.109 0.308
O3 O 0.193 0.373 0.687
O4 O 0.243 0.477 0.244
O5 O 0.360 0.709 0.573
O6 O 0.415 0.824 0.935
O7 O 0.441 0.876 0.324
O8 O 0.512 0.019 0.555
O9 O 0.573 0.148 0.073
O10 O 0.655 0.327 0.864
O11 O 0.678 0.353 0.464
O12 O 0.743 0.482 0.116
O13 O 0.880 0.743 0.800
O14 O 0.921 0.837 0.160
O15 O 0.922 0.836 0.438
```

Most intense lines, 10° ≤ 2θ ≤ 90°, sorted by position:
2θ = 10.39°, intensity 73, (0 1 0)
2θ = 19.27°, intensity 61, (0 1 2)
2θ = 26.85°, intensity 37, (0 2 2)
2θ = 29.98°, intensity 30, (1 -2 0)
2θ = 30.80°, intensity 100, (1 1 -1)
2θ = 31.24°, intensity 69, (-1 2 1)
2θ = 31.57°, intensity 26, (0 0 4)
2θ = 32.79°, intensity 27, (0 1 -4)
2θ = 48.36°, intensity 26, (1 -3 4)
2θ = 52.23°, intensity 46, (2 -1 0)

---

No. 4
CaSi8O16: calculated X-ray diffraction stick pattern (Cu Kα, 1.54184 Å), based on a DFT-relaxed cell (GGA-PBE, the Materials Project).
Lines closer than 0.1° are merged.

Structural model:
```
data_CaSi8O16
_space_group_name_H-M_alt 'P 1 c 1'
_space_group_IT_number 7
_space_group_name_Hall 'P -2yc'
_cell_length_a 6.754
_cell_length_b 14.067
_cell_length_c 10.102
_cell_angle_alpha 90.00
_cell_angle_beta 111.02
_cell_angle_gamma 90.00
loop_
_atom_site_label
_atom_site_type_symbol
_atom_site_fract_x
_atom_site_fract_y
_atom_site_fract_z
Ca1 Ca 0.000 0.222 0.000
Si1 Si 0.009 0.473 0.966
Si2 Si 0.023 0.004 0.402
Si3 Si 0.297 0.496 0.780
Si4 Si 0.318 0.029 0.217
Si5 Si 0.634 0.128 0.715
Si6 Si 0.637 0.355 0.754
Si7 Si 0.684 0.149 0.416
Si8 Si 0.685 0.373 0.453
O1 O 0.120 0.459 0.136
O2 O 0.165 0.030 0.308
O3 O 0.170 0.050 0.050
O4 O 0.184 0.467 0.891
O5 O 0.412 0.401 0.746
O6 O 0.429 0.075 0.729
O7 O 0.469 0.421 0.347
O8 O 0.497 0.111 0.272
O9 O 0.627 0.117 0.555
O10 O 0.640 0.238 0.770
O11 O 0.692 0.385 0.616
O12 O 0.696 0.263 0.412
O13 O 0.833 0.386 0.903
O14 O 0.855 0.083 0.830
O15 O 0.889 0.425 0.435
O16 O 0.911 0.100 0.430
```

Most intense lines, 10° ≤ 2θ ≤ 90°, sorted by position:
2θ = 11.30°, intensity 32, (0 1 1)
2θ = 12.59°, intensity 92, (0 2 0)
2θ = 15.19°, intensity 100, (1 1 -1)
2θ = 18.82°, intensity 34, (0 0 2)
2θ = 18.90°, intensity 78, (1 2 0)
2θ = 19.04°, intensity 98, (1 0 -2)
2θ = 20.55°, intensity 37, (1 1 1)
2θ = 27.37°, intensity 30, (1 0 2)
2θ = 29.08°, intensity 81, (1 4 0)
2θ = 30.24°, intensity 17, (1 2 2)

---

No. 5
CaSi5O10: calculated X-ray diffraction stick pattern (Cu Kα, 1.54184 Å), based on a DFT-relaxed cell (GGA-PBE, the Materials Project).
Lines closer than 0.1° are merged.

Structural model:
```
data_CaSi5O10
_space_group_name_H-M_alt 'P -4 m 2'
_space_group_IT_number 115
_space_group_name_Hall 'P -4 -2'
_cell_length_a 6.973
_cell_length_b 6.973
_cell_length_c 6.483
_cell_angle_alpha 90.00
_cell_angle_beta 90.00
_cell_angle_gamma 90.00
loop_
_atom_site_label
_atom_site_type_symbol
_atom_site_fract_x
_atom_site_fract_y
_atom_site_fract_z
Ca1 Ca 0.000 0.000 0.000
Si1 Si 0.231 0.500 0.619
Si2 Si 0.500 0.500 0.000
O1 O 0.000 0.500 0.620
O2 O 0.307 0.500 0.857
O3 O 0.308 0.308 0.500
```

Most intense lines, 10° ≤ 2θ ≤ 90°, sorted by position:
2θ = 12.69°, intensity 100, (1 0 0)
2θ = 13.66°, intensity 15, (0 0 1)
2θ = 17.99°, intensity 11, (1 1 0)
2θ = 18.69°, intensity 61, (1 0 1)
2θ = 22.66°, intensity 51, (1 1 1)
2θ = 27.52°, intensity 11, (0 0 2)
2θ = 28.63°, intensity 25, (2 1 0)
2θ = 29.08°, intensity 52, (2 0 1)
2θ = 43.34°, intensity 11, (3 1 1)
2θ = 49.63°, intensity 12, (2 0 3)